Record 1
# Ca3Al2H6SO8F8
Calculated powder diffraction line list, Cu Kα, 1.54184 Å. Input: the GGA-PBE geometry in the Materials Project.
Peak positions follow from Bragg's law for the DFT cell and can differ from measured ones.

Largest 10 diffraction maxima, by intensity, 10° ≤ 2θ ≤ 80°:
- 25.32°, I = 100
- 22.28°, I = 90
- 12.57°, I = 54
- 11.95°, I = 51
- 41.36°, I = 49
- 27.14°, I = 36
- 28.81°, I = 36
- 15.07°, I = 29
- 44.33°, I = 29
- 31.88°, I = 29

Atomic structure:
```
data_Ca3Al2H6SO8F8
_chemical_formula_sum 'Ca12 Al8 H24 S4 O32 F32'
_cell_length_a 14.105
_cell_length_b 8.703
_cell_length_c 10.105
_cell_angle_alpha 90.00
_cell_angle_beta 93.48
_cell_angle_gamma 90.00
_space_group_name_H-M_alt 'C 1 2/c 1'
_space_group_IT_number 15
loop_
_space_group_symop_operation_xyz
'x,y,z'
'-x,-y,-z'
'-x,y,-z+1/2'
'x,-y,z+1/2'
'x+1/2,y+1/2,z'
'-x+1/2,-y+1/2,-z'
'-x+1/2,y+1/2,-z+1/2'
'x+1/2,-y+1/2,z+1/2'
loop_
_atom_site_label
_atom_site_type_symbol
_atom_site_fract_x
_atom_site_fract_y
_atom_site_fract_z
Ca1 Ca 0.000 0.030 0.250
Ca2 Ca 0.247 0.219 0.193
Al1 Al 0.202 0.101 0.513
H1 H 0.054 0.368 0.131
H2 H 0.063 0.240 0.023
H3 H 0.130 0.362 0.574
S1 S 0.000 0.345 0.750
O1 O 0.037 0.442 0.644
O2 O 0.073 0.259 0.119
O3 O 0.077 0.242 0.810
O4 O 0.192 0.310 0.564
F1 F 0.091 0.046 0.578
F2 F 0.140 0.118 0.348
F3 F 0.235 0.099 0.976
F4 F 0.236 0.441 0.321
```

=====

Record 2
# LiCaAlF6
Calculated powder diffraction line list, Cu Kα, 1.54184 Å. Input: the GGA-PBE geometry in the Materials Project.
Peak positions follow from Bragg's law for the DFT cell and can differ from measured ones.

Largest 10 diffraction maxima, by intensity, 10° ≤ 2θ ≤ 80°:
- 27.30°, I = 100
- 40.01°, I = 83
- 51.98°, I = 64
- 22.16°, I = 40
- 63.39°, I = 27
- 58.63°, I = 21
- 45.20°, I = 18
- 42.39°, I = 10
- 41.00°, I = 9
- 68.54°, I = 7

Atomic structure:
```
data_LiCaAlF6
_chemical_formula_sum 'Li2 Ca2 Al2 F12'
_cell_length_a 5.0832
_cell_length_b 5.0832
_cell_length_c 9.7496
_cell_angle_alpha 90.00
_cell_angle_beta 90.00
_cell_angle_gamma 120.00
_space_group_name_H-M_alt 'P -3 1 c'
_space_group_IT_number 163
_space_group_name_Hall '-P 3 2c'
loop_
_atom_site_label
_atom_site_type_symbol
_atom_site_fract_x
_atom_site_fract_y
_atom_site_fract_z
Li1 Li 0.3333 0.6667 0.2500
Ca1 Ca 0.0000 0.0000 0.0000
Al1 Al 0.3333 0.6667 0.7500
F1 F 0.0313 0.3758 0.6431
```

=====

Please write out number 2 again, unchanged.
# LiCaAlF6
Calculated powder diffraction line list, Cu Kα, 1.54184 Å. Input: the GGA-PBE geometry in the Materials Project.
Peak positions follow from Bragg's law for the DFT cell and can differ from measured ones.

Largest 10 diffraction maxima, by intensity, 10° ≤ 2θ ≤ 80°:
- 27.30°, I = 100
- 40.01°, I = 83
- 51.98°, I = 64
- 22.16°, I = 40
- 63.39°, I = 27
- 58.63°, I = 21
- 45.20°, I = 18
- 42.39°, I = 10
- 41.00°, I = 9
- 68.54°, I = 7

Atomic structure:
```
data_LiCaAlF6
_chemical_formula_sum 'Li2 Ca2 Al2 F12'
_cell_length_a 5.0832
_cell_length_b 5.0832
_cell_length_c 9.7496
_cell_angle_alpha 90.00
_cell_angle_beta 90.00
_cell_angle_gamma 120.00
_space_group_name_H-M_alt 'P -3 1 c'
_space_group_IT_number 163
_space_group_name_Hall '-P 3 2c'
loop_
_atom_site_label
_atom_site_type_symbol
_atom_site_fract_x
_atom_site_fract_y
_atom_site_fract_z
Li1 Li 0.3333 0.6667 0.2500
Ca1 Ca 0.0000 0.0000 0.0000
Al1 Al 0.3333 0.6667 0.7500
F1 F 0.0313 0.3758 0.6431
```

=====

Please write out number 1 again, unchanged.
# Ca3Al2H6SO8F8
Calculated powder diffraction line list, Cu Kα, 1.54184 Å. Input: the GGA-PBE geometry in the Materials Project.
Peak positions follow from Bragg's law for the DFT cell and can differ from measured ones.

Largest 10 diffraction maxima, by intensity, 10° ≤ 2θ ≤ 80°:
- 25.32°, I = 100
- 22.28°, I = 90
- 12.57°, I = 54
- 11.95°, I = 51
- 41.36°, I = 49
- 27.14°, I = 36
- 28.81°, I = 36
- 15.07°, I = 29
- 44.33°, I = 29
- 31.88°, I = 29

Atomic structure:
```
data_Ca3Al2H6SO8F8
_chemical_formula_sum 'Ca12 Al8 H24 S4 O32 F32'
_cell_length_a 14.105
_cell_length_b 8.703
_cell_length_c 10.105
_cell_angle_alpha 90.00
_cell_angle_beta 93.48
_cell_angle_gamma 90.00
_space_group_name_H-M_alt 'C 1 2/c 1'
_space_group_IT_number 15
loop_
_space_group_symop_operation_xyz
'x,y,z'
'-x,-y,-z'
'-x,y,-z+1/2'
'x,-y,z+1/2'
'x+1/2,y+1/2,z'
'-x+1/2,-y+1/2,-z'
'-x+1/2,y+1/2,-z+1/2'
'x+1/2,-y+1/2,z+1/2'
loop_
_atom_site_label
_atom_site_type_symbol
_atom_site_fract_x
_atom_site_fract_y
_atom_site_fract_z
Ca1 Ca 0.000 0.030 0.250
Ca2 Ca 0.247 0.219 0.193
Al1 Al 0.202 0.101 0.513
H1 H 0.054 0.368 0.131
H2 H 0.063 0.240 0.023
H3 H 0.130 0.362 0.574
S1 S 0.000 0.345 0.750
O1 O 0.037 0.442 0.644
O2 O 0.073 0.259 0.119
O3 O 0.077 0.242 0.810
O4 O 0.192 0.310 0.564
F1 F 0.091 0.046 0.578
F2 F 0.140 0.118 0.348
F3 F 0.235 0.099 0.976
F4 F 0.236 0.441 0.321
```